Calculated powder X-ray diffraction pattern of Nd2YRh for Cu Kα (λ = 1.5418 Å), from a crystal structure in Alexandria, relaxed with PBE.

Crystal structure
Lattice parameters (Å, degrees): 6.740 6.450 11.588 90.00 90.00 90.00
Space group Pnna (No. 52)
Symmetry-distinct sites (fractional):
Nd  0.089  0.245  0.087
Y  0.071  0.250  0.750
Rh  0.250  0.000  0.588

Main lines, by angle (2θ from 10° to 80°):
| h k l | two_theta | intensity |
| --- | --- | --- |
| 0 2 0 | 27.7 | 22 |
| 2 1 0 | 29.9 | 52 |
| 1 1 3 | 30.0 | 100 |
| 2 2 0 | 38.6 | 20 |
| 1 2 3 | 38.8 | 42 |
| 3 0 3 | 46.8 | 32 |
| 0 0 6 | 47.1 | 17 |
| 1 3 3 | 50.4 | 23 |
| 2 1 6 | 56.8 | 17 |
| 3 4 3 | 76.8 | 21 |

=====

Calculated powder X-ray diffraction pattern of NdZn8Rh4 for Cu Kα (λ = 1.5418 Å), from a crystal structure in Alexandria, relaxed with PBE.

Crystal structure
Lattice parameters (Å, degrees): 8.617 8.617 5.625 90.00 90.00 90.00
Space group I4/mmm (No. 139)
Symmetry-distinct sites (fractional):
Nd  0.000  0.000  0.000
Zn  0.000  0.226  0.500
Zn  0.000  0.343  0.000
Rh  0.250  0.250  0.250

Main lines, by angle (2θ from 10° to 80°):
| h k l | two_theta | intensity |
| --- | --- | --- |
| 2 0 0 | 20.6 | 20 |
| 3 0 1 | 35.1 | 36 |
| 2 0 2 | 38.2 | 100 |
| 3 2 1 | 41.0 | 69 |
| 4 0 0 | 41.9 | 67 |
| 2 2 2 | 43.8 | 68 |
| 4 2 0 | 47.2 | 25 |
| 4 2 2 | 58.0 | 21 |
| 3 2 3 | 63.0 | 19 |
| 6 0 2 | 74.1 | 25 |

=====

Calculated powder X-ray diffraction pattern of Nd4ZnRh4 for Cu Kα (λ = 1.5418 Å), from a crystal structure in Alexandria, relaxed with PBE.

Crystal structure
Lattice parameters (Å, degrees): 8.606 8.606 5.673 90.00 90.00 90.00
Space group P4_2/n (No. 86, origin choice 2)
Symmetry-distinct sites (fractional):
Nd  0.041  0.684  0.113
Zn  0.250  0.250  0.250
Rh  0.000  0.360  0.390

Main lines, by angle (2θ from 10° to 80°):
| h k l | two_theta | intensity |
| --- | --- | --- |
| 2 1 1 | 28.0 | 14 |
| 2 2 0 | 29.4 | 16 |
| 1 3 0 | 32.9 | 100 |
| 1 0 2 | 33.3 | 48 |
| 1 2 2 | 39.5 | 57 |
| 4 2 0 | 47.2 | 21 |
| 2 3 2 | 49.9 | 31 |
| 4 1 2 | 54.6 | 27 |
| 2 5 2 | 67.3 | 15 |
| 1 3 4 | 75.6 | 14 |